1.
For Fe2PtN, a structure optimized by DFT (PBE) gives the theoretical PXRD pattern in this record (copper Kα).
Intensities are scaled so that the largest is 100.

Crystal structure
```
data_Fe2PtN
_chemical_formula_sum 'Fe6 Pt3 N3'
_cell_length_a 2.8261
_cell_length_b 2.8261
_cell_length_c 19.3663
_cell_angle_alpha 90.00
_cell_angle_beta 90.00
_cell_angle_gamma 120.00
_symmetry_space_group_name_H-M 'R -3 m'
_symmetry_Int_Tables_number 166
_symmetry_space_group_name_Hall '-R 3 2"'
loop_
_atom_site_label
_atom_site_type_symbol
_atom_site_fract_x
_atom_site_fract_y
_atom_site_fract_z
Fe1 Fe 0.0000 0.0000 0.2213
Pt1 Pt 0.0000 0.0000 0.0000
N1 N 0.0000 0.0000 0.5000
```

Peak list (12 most intense, 2θ = 10–90°, in order of falling intensity)
hkl 1 0 4, d 2.184, intensity 100.0
hkl 0 1 5, d 2.069, intensity 73.0
hkl 0 0 3, d 6.455, intensity 70.7
hkl 1 0 1, d 2.428, intensity 63.1
hkl 0 0 9, d 2.152, intensity 32.7
hkl 1 1 0, d 1.413, intensity 28.6
hkl 1 1 9, d 1.181, intensity 27.9
hkl 0 1 8, d 1.721, intensity 26.8
hkl 0 0 6, d 3.228, intensity 25.3
hkl 1 0 10, d 1.519, intensity 19.5
hkl 0 1 14, d 1.204, intensity 14.6
hkl 1 0 13, d 1.273, intensity 14.2

***

2.
For TiRh2, a structure optimized by DFT (PBE) gives the theoretical PXRD pattern in this record (copper Kα).
Intensities are scaled so that the largest is 100.

Crystal structure
```
data_TiRh2
_chemical_formula_sum 'Ti4 Rh8'
_cell_length_a 5.3295
_cell_length_b 4.1590
_cell_length_c 7.8955
_cell_angle_alpha 90.00
_cell_angle_beta 90.00
_cell_angle_gamma 90.00
_symmetry_space_group_name_H-M 'P n m a'
_symmetry_Int_Tables_number 62
loop_
_symmetry_equiv_pos_as_xyz
'x,y,z'
'-x,-y,-z'
'-x+1/2,-y,z+1/2'
'x+1/2,y,-z+1/2'
'x+1/2,-y+1/2,-z+1/2'
'-x+1/2,y+1/2,z+1/2'
'-x,y+1/2,-z'
'x,-y+1/2,z'
loop_
_atom_site_label
_atom_site_type_symbol
_atom_site_fract_x
_atom_site_fract_y
_atom_site_fract_z
Ti1 Ti 0.1870 0.2500 0.1057
Rh1 Rh 0.0443 0.2500 0.7816
Rh2 Rh 0.1683 0.2500 0.4370
```

Peak list (12 most intense, 2θ = 10–90°, in order of falling intensity)
hkl 0 1 3, d 2.224, intensity 100.0
hkl 2 1 0, d 2.244, intensity 63.7
hkl 2 1 1, d 2.158, intensity 58.6
hkl 0 2 0, d 2.079, intensity 52.1
hkl 2 0 2, d 2.209, intensity 31.3
hkl 2 0 3, d 1.873, intensity 28.8
hkl 2 2 2, d 1.514, intensity 22.9
hkl 2 2 3, d 1.392, intensity 21.0
hkl 1 1 2, d 2.522, intensity 19.1
hkl 1 1 1, d 3.028, intensity 18.2
hkl 1 0 3, d 2.360, intensity 16.1
hkl 1 1 3, d 2.052, intensity 14.0

***

3.
For Ce4ZnGa, a structure optimized by DFT (PBE) gives the theoretical PXRD pattern in this record (copper Kα).
Intensities are scaled so that the largest is 100.

Crystal structure
```
data_Ce4ZnGa
_chemical_formula_sum 'Ce8 Zn2 Ga2'
_cell_length_a 5.0676
_cell_length_b 5.8107
_cell_length_c 8.8882
_cell_angle_alpha 90.00
_cell_angle_beta 90.00
_cell_angle_gamma 90.00
_symmetry_space_group_name_H-M 'I m m m'
_symmetry_Int_Tables_number 71
_symmetry_space_group_name_Hall '-I 2 2'
loop_
_atom_site_label
_atom_site_type_symbol
_atom_site_fract_x
_atom_site_fract_y
_atom_site_fract_z
Ce1 Ce 0.0000 0.2475 0.1691
Zn1 Zn 0.0000 0.5000 0.5000
Ga1 Ga 0.0000 0.0000 0.5000
```

Peak list (12 most intense, 2θ = 10–90°, in order of falling intensity)
hkl 1 0 3, d 2.558, intensity 100.0
hkl 1 2 1, d 2.425, intensity 60.5
hkl 2 0 0, d 2.534, intensity 48.8
hkl 0 2 2, d 2.432, intensity 33.8
hkl 1 2 3, d 1.920, intensity 29.6
hkl 2 2 2, d 1.754, intensity 24.9
hkl 0 2 0, d 2.905, intensity 24.4
hkl 0 4 0, d 1.453, intensity 23.0
hkl 1 4 3, d 1.263, intensity 21.1
hkl 3 0 3, d 1.467, intensity 17.6
hkl 2 2 0, d 1.910, intensity 14.6
hkl 1 0 1, d 4.402, intensity 13.0

***

4.
For Ga2HPd6, a structure optimized by DFT (PBE) gives the theoretical PXRD pattern in this record (copper Kα).
Intensities are scaled so that the largest is 100.

Crystal structure
```
data_Ga2HPd6
_chemical_formula_sum 'Ga4 H2 Pd12'
_cell_length_a 4.0206
_cell_length_b 4.0206
_cell_length_c 18.2143
_cell_angle_alpha 90.00
_cell_angle_beta 90.00
_cell_angle_gamma 90.00
_symmetry_space_group_name_H-M 'I -4 2 m'
_symmetry_Int_Tables_number 121
_symmetry_space_group_name_Hall 'I -4 2'
loop_
_atom_site_label
_atom_site_type_symbol
_atom_site_fract_x
_atom_site_fract_y
_atom_site_fract_z
Ga1 Ga 0.0000 0.0000 0.1680
H1 H 0.0000 0.0000 0.5000
Pd1 Pd 0.0000 0.5000 0.2500
Pd2 Pd 0.2437 0.2437 0.0575
```

Peak list (12 most intense, 2θ = 10–90°, in order of falling intensity)
hkl 1 1 4, d 2.412, intensity 100.0
hkl 2 0 2, d 1.963, intensity 76.7
hkl 1 1 6, d 2.075, intensity 62.8
hkl 1 1 2, d 2.714, intensity 54.0
hkl 2 0 8, d 1.507, intensity 26.1
hkl 3 1 4, d 1.225, intensity 22.1
hkl 2 2 0, d 1.422, intensity 21.9
hkl 0 0 4, d 4.554, intensity 20.9
hkl 3 1 6, d 1.173, intensity 19.0
hkl 1 0 3, d 3.352, intensity 18.4
hkl 0 0 10, d 1.821, intensity 17.6
hkl 0 0 6, d 3.036, intensity 17.5